# 1
Computed X-ray diffraction stick pattern of Pa4Ge3N4 for λ = 1.5418 Å (Cu Kα), from a cell relaxed with PBE.
Kinematic intensities with the Lorentz-polarization factor, no thermal factor.

Main lines, by angle (10° ≤ 2θ ≤ 90°):
26.4 deg, I = 70; 31.0 deg, I = 100; 32.7 deg, I = 80; 36.1 deg, I = 36; 45.5 deg, I = 16; 46.1 deg, I = 20; 48.3 deg, I = 30; 53.9 deg, I = 21; 56.1 deg, I = 31; 59.9 deg, I = 18

Structural model:
Cell lengths 7.970, 6.658, 6.658 Å; angles 34.42, 90.00, 90.00 degrees
Fractional positions:
Pa 0.000 0.000 0.000
Pa 0.239 0.688 0.688
Pa 0.500 0.013 0.013
Pa 0.761 0.688 0.688
Ge 0.000 0.311 0.311
Ge 0.304 0.371 0.371
Ge 0.696 0.371 0.371
N 0.000 0.588 0.588
N 0.248 0.096 0.096
N 0.500 0.615 0.615
N 0.752 0.096 0.096



# 2
Computed X-ray diffraction stick pattern of PmPa2GeN5 for λ = 1.5418 Å (Cu Kα), from a cell relaxed with PBE.
Kinematic intensities with the Lorentz-polarization factor, no thermal factor.

Main lines, by angle (10° ≤ 2θ ≤ 90°):
27.4 deg, I = 100; 29.8 deg, I = 71; 30.4 deg, I = 78; 31.4 deg, I = 87; 32.3 deg, I = 89; 33.1 deg, I = 66; 34.1 deg, I = 62; 40.9 deg, I = 67; 41.8 deg, I = 62; 43.8 deg, I = 45

Structural model:
Cell lengths 8.738, 8.738, 9.145 Å; angles 94.48, 94.48, 21.90 degrees
Fractional positions:
Pm 0.000 0.000 0.000
Pm 0.542 0.542 0.388
Pa 0.668 0.668 0.752
Pa 0.677 0.677 0.120
Pa 0.860 0.860 0.291
Pa 0.869 0.869 0.666
Ge 0.208 0.208 0.478
Ge 0.338 0.338 0.984
N 0.100 0.100 0.219
N 0.110 0.110 0.564
N 0.137 0.137 0.912
N 0.265 0.265 0.665
N 0.273 0.273 0.166
N 0.399 0.399 0.472
N 0.424 0.424 0.822
N 0.427 0.427 0.142
N 0.733 0.733 0.391
N 0.792 0.792 0.914



# 3
Computed X-ray diffraction stick pattern of Rb2PaGeN4 for λ = 1.5418 Å (Cu Kα), from a cell relaxed with PBE.
Kinematic intensities with the Lorentz-polarization factor, no thermal factor.

Main lines, by angle (10° ≤ 2θ ≤ 90°):
12.2 deg, I = 27; 18.6 deg, I = 23; 24.5 deg, I = 23; 27.7 deg, I = 50; 28.1 deg, I = 74; 31.4 deg, I = 100; 37.3 deg, I = 22; 45.3 deg, I = 20; 51.3 deg, I = 26; 54.0 deg, I = 31

Structural model:
Cell lengths 6.447, 7.064, 7.280 Å; angles 90.00, 90.00, 90.00 degrees
Fractional positions:
Rb 0.250 0.003 0.208
Rb 0.250 0.497 0.208
Rb 0.750 0.503 0.792
Rb 0.750 0.997 0.792
Pa 0.250 0.250 0.661
Pa 0.750 0.750 0.339
Ge 0.250 0.750 0.660
Ge 0.750 0.250 0.340
N 0.012 0.750 0.509
N 0.250 0.521 0.796
N 0.250 0.979 0.796
N 0.488 0.750 0.509
N 0.512 0.250 0.491
N 0.750 0.021 0.204
N 0.750 0.479 0.204
N 0.988 0.250 0.491



# 4
Computed X-ray diffraction stick pattern of RbPaGeN3 for λ = 1.5418 Å (Cu Kα), from a cell relaxed with PBE.
Kinematic intensities with the Lorentz-polarization factor, no thermal factor.

Main lines, by angle (10° ≤ 2θ ≤ 90°):
11.0 deg, I = 19; 13.2 deg, I = 100; 26.3 deg, I = 29; 26.7 deg, I = 47; 28.3 deg, I = 15; 30.0 deg, I = 24; 32.7 deg, I = 56; 33.2 deg, I = 45; 51.7 deg, I = 17; 56.3 deg, I = 19

Structural model:
Cell lengths 8.182, 3.743, 8.409 Å; angles 90.00, 107.49, 90.00 degrees
Fractional positions:
Rb 0.195 0.250 0.222
Rb 0.805 0.750 0.778
Pa 0.346 0.750 0.849
Pa 0.654 0.250 0.151
Ge 0.101 0.250 0.598
Ge 0.899 0.750 0.402
N 0.157 0.750 0.534
N 0.165 0.250 0.834
N 0.476 0.750 0.118
N 0.524 0.250 0.882
N 0.835 0.750 0.166
N 0.843 0.250 0.466